1.
The following is a simulated powder diffractogram of Cd7P6. It was derived from a DFT-relaxed cell (PBE, Alexandria), using copper Kα.
Peak positions follow from Bragg's law for the DFT cell and can differ from measured ones.

The 12 most intense peaks (2θ = 5–70°), in order of rising 2θ:
2theta	intensity
15.41	100
21.69	45
30.45	77
31.11	57
32.82	28
34.18	58
35.42	63
39.85	98
40.52	21
42.42	29
53.69	49
68.90	22

Crystal structure
Cell lengths 6.8287, 6.8287, 24.5834 Å; angles 90.00, 90.00, 120.00 degrees
Space group R-3m (No. 166, hexagonal axes)
Asymmetric unit:
Cd1 0.0000 0.0000 0.0000 [3 per cell]
Cd2 0.0059 0.5030 0.4265 [18 per cell]
P1 0.0000 0.0000 0.1579 [6 per cell]
P2 0.0000 0.0000 0.3115 [6 per cell]
P3 0.0000 0.0000 0.3958 [6 per cell]

2.
The following is a simulated powder diffractogram of Cd7P10. It was derived from a DFT-relaxed cell (PBE, Alexandria), using copper Kα.
Peak positions follow from Bragg's law for the DFT cell and can differ from measured ones.

The 12 most intense peaks (2θ = 5–70°), in order of rising 2θ:
2theta	intensity
24.06	51
25.01	33
26.82	37
27.32	25
28.66	100
29.63	36
30.96	35
31.48	22
31.63	24
35.33	23
46.84	23
48.41	23

Crystal structure
Cell lengths 23.105, 27.768, 4.737 Å; angles 90.00, 90.00, 90.00 degrees
Space group Fdd2 (No. 43)
Asymmetric unit:
Cd1 0.000 0.000 0.027 [8 per cell]
Cd2 0.003 0.202 0.500 [16 per cell]
Cd3 0.118 0.289 0.677 [16 per cell]
Cd4 0.119 0.418 0.305 [16 per cell]
P1 0.034 0.134 0.859 [16 per cell]
P2 0.036 0.064 0.659 [16 per cell]
P3 0.042 0.436 0.889 [16 per cell]
P4 0.044 0.370 0.634 [16 per cell]
P5 0.083 0.248 0.225 [16 per cell]

3.
The following is a simulated powder diffractogram of CdP5. It was derived from a DFT-relaxed cell (PBE, Alexandria), using copper Kα.
Peak positions follow from Bragg's law for the DFT cell and can differ from measured ones.

The 12 most intense peaks (2θ = 5–70°), in order of rising 2θ:
2theta	intensity
19.94	15
22.01	22
25.21	17
29.88	100
30.79	40
40.53	25
41.96	23
49.03	50
51.75	17
52.94	16
59.75	17
68.73	14

Crystal structure
Cell lengths 4.306, 11.616, 4.452 Å; angles 90.00, 90.00, 90.00 degrees
Space group Cmmm (No. 65)
Asymmetric unit:
Cd1 0.000 0.000 0.000 [2 per cell]
P1 0.000 0.220 0.000 [4 per cell]
P2 0.000 0.288 0.500 [4 per cell]
P3 0.000 0.500 0.500 [2 per cell]

4.
The following is a simulated powder diffractogram of CdP2Pd. It was derived from a DFT-relaxed cell (PBE, Alexandria), using copper Kα.
Peak positions follow from Bragg's law for the DFT cell and can differ from measured ones.

The 11 most intense peaks (2θ = 5–70°), in order of rising 2θ:
2theta	intensity
27.32	100
31.45	18
32.04	8
36.21	1
45.07	17
45.51	35
53.51	29
54.28	14
56.37	7
65.65	5
67.00	3

Crystal structure
Cell lengths 5.689, 5.689, 11.175 Å; angles 90.00, 90.00, 90.00 degrees
Space group I-42d (No. 122)
Asymmetric unit:
Cd1 0.000 0.000 0.000 [4 per cell]
P1 0.204 0.250 0.625 [8 per cell]
Pd1 0.000 0.000 0.500 [4 per cell]

5.
The following is a simulated powder diffractogram of Sr3CdP2Pd9. It was derived from a DFT-relaxed cell (PBE, Alexandria), using copper Kα.
Peak positions follow from Bragg's law for the DFT cell and can differ from measured ones.

The 12 most intense peaks (2θ = 5–70°), in order of rising 2θ:
2theta	intensity
18.66	20
31.62	90
35.45	25
37.84	100
39.09	8
40.92	13
51.95	33
57.14	29
62.11	9
64.47	18
66.04	15
69.07	10

Crystal structure
Cell lengths 7.0402, 7.0402, 7.5976 Å; angles 90.00, 90.00, 120.00 degrees
Space group P-3m1 (No. 164)
Asymmetric unit:
Sr1 0.0000 0.0000 0.0000 [1 per cell]
Sr2 0.3333 0.6667 0.6749 [2 per cell]
Cd1 0.0000 0.0000 0.5000 [1 per cell]
P1 0.3333 0.6667 0.1363 [2 per cell]
Pd1 0.0000 0.5000 0.0000 [3 per cell]
Pd2 0.1906 0.3812 0.3325 [6 per cell]

6.
The following is a simulated powder diffractogram of SrCd2PPd2. It was derived from a DFT-relaxed cell (PBE, Alexandria), using copper Kα.
Peak positions follow from Bragg's law for the DFT cell and can differ from measured ones.

The 12 most intense peaks (2θ = 5–70°), in order of rising 2θ:
2theta	intensity
11.73	68
20.64	16
26.61	100
30.55	88
37.01	54
40.17	78
46.04	85
48.25	14
48.84	38
58.11	26
64.53	23
67.08	17

Crystal structure
Cell lengths 4.490, 4.490, 15.090 Å; angles 90.00, 90.00, 90.00 degrees
Space group I4/mmm (No. 139)
Asymmetric unit:
Sr1 0.000 0.000 0.000 [2 per cell]
Cd1 0.000 0.500 0.250 [4 per cell]
P1 0.000 0.000 0.500 [2 per cell]
Pd1 0.000 0.000 0.353 [4 per cell]

7.
The following is a simulated powder diffractogram of PmCd2P2Pt7. It was derived from a DFT-relaxed cell (PBE, Alexandria), using copper Kα.
Peak positions follow from Bragg's law for the DFT cell and can differ from measured ones.

The 12 most intense peaks (2θ = 5–70°), in order of rising 2θ:
2theta	intensity
6.35	80
32.14	100
34.09	66
34.95	79
36.00	92
37.11	88
45.19	56
45.36	52
45.60	42
50.38	24
50.80	33
65.76	37

Crystal structure
Cell lengths 5.684, 5.680, 14.060 Å; angles 90.00, 97.82, 90.00 degrees
Space group C2/m (No. 12)
Asymmetric unit:
Pm1 0.000 0.000 0.000 [2 per cell]
Cd1 0.095 0.000 0.404 [4 per cell]
P1 0.083 0.500 0.255 [4 per cell]
Pt1 0.000 0.500 0.000 [2 per cell]
Pt2 0.096 0.500 0.416 [4 per cell]
Pt3 0.197 0.250 0.837 [8 per cell]

8.
The following is a simulated powder diffractogram of PrCd3P3. It was derived from a DFT-relaxed cell (PBE, Alexandria), using copper Kα.
Peak positions follow from Bragg's law for the DFT cell and can differ from measured ones.

The 12 most intense peaks (2θ = 5–70°), in order of rising 2θ:
2theta	intensity
25.25	94
26.98	47
29.23	61
31.91	83
33.83	41
34.94	57
41.84	100
49.46	33
51.85	12
53.53	34
54.85	59
55.61	14

Crystal structure
Cell lengths 4.3179, 4.3179, 21.1984 Å; angles 90.00, 90.00, 120.00 degrees
Space group P6_3/mmc (No. 194)
Asymmetric unit:
Pr1 0.0000 0.0000 0.0000 [2 per cell]
Cd1 0.3333 0.6667 0.1265 [4 per cell]
Cd2 0.3333 0.6667 0.7500 [2 per cell]
P1 0.3333 0.6667 0.2500 [2 per cell]
P2 0.3333 0.6667 0.5778 [4 per cell]

9.
The following is a simulated powder diffractogram of PuCdP. It was derived from a DFT-relaxed cell (PBE, Alexandria), using copper Kα.
Peak positions follow from Bragg's law for the DFT cell and can differ from measured ones.

The 12 most intense peaks (2θ = 5–70°), in order of rising 2θ:
2theta	intensity
10.30	100
20.69	42
24.47	39
25.20	53
29.24	86
36.98	99
38.63	76
42.74	39
45.16	29
54.71	30
59.42	21
65.37	35

Crystal structure
Cell lengths 3.612, 17.175, 4.016 Å; angles 90.00, 90.00, 90.00 degrees
Space group Cmcm (No. 63)
Asymmetric unit:
Pu1 0.000 0.039 0.250 [4 per cell]
Cd1 0.000 0.292 0.750 [4 per cell]
P1 0.000 0.413 0.250 [4 per cell]

10.
The following is a simulated powder diffractogram of Cd3ReP. It was derived from a DFT-relaxed cell (PBE, Alexandria), using copper Kα.
Peak positions follow from Bragg's law for the DFT cell and can differ from measured ones.

The 11 most intense peaks (2θ = 5–70°), in order of rising 2θ:
2theta	intensity
17.86	1
25.36	10
31.19	100
36.17	64
40.62	1
44.69	5
52.08	44
55.51	1
58.79	2
61.97	41
65.05	15

Crystal structure
Cell lengths 4.967, 4.967, 4.967 Å; angles 90.00, 90.00, 90.00 degrees
Space group Pm-3m (No. 221)
Asymmetric unit:
Cd1 0.000 0.000 0.500 [3 per cell]
Re1 0.500 0.500 0.500 [1 per cell]
P1 0.000 0.000 0.000 [1 per cell]

11.
The following is a simulated powder diffractogram of Cd2ReP. It was derived from a DFT-relaxed cell (PBE, Alexandria), using copper Kα.
Peak positions follow from Bragg's law for the DFT cell and can differ from measured ones.

The 12 most intense peaks (2θ = 5–70°), in order of rising 2θ:
2theta	intensity
12.09	26
21.42	80
24.67	9
36.84	30
37.16	100
43.01	26
43.63	13
45.31	11
48.79	39
66.57	17
67.20	7
67.50	8

Crystal structure
Cell lengths 8.298, 2.958, 8.407 Å; angles 90.00, 119.46, 90.00 degrees
Space group Cm (No. 8)
Asymmetric unit:
Cd1 0.000 0.000 0.000 [2 per cell]
Cd2 0.172 0.500 0.343 [2 per cell]
Re1 0.386 0.000 0.671 [2 per cell]
P1 0.099 0.000 0.671 [2 per cell]

12.
The following is a simulated powder diffractogram of Cd2PRh2. It was derived from a DFT-relaxed cell (PBE, Alexandria), using copper Kα.
Peak positions follow from Bragg's law for the DFT cell and can differ from measured ones.

The 12 most intense peaks (2θ = 5–70°), in order of rising 2θ:
2theta	intensity
20.56	9
29.24	12
38.32	100
39.18	23
41.82	2
44.65	2
47.04	17
49.63	6
60.63	3
62.83	14
64.74	7
66.27	15

Crystal structure
Cell lengths 6.109, 6.109, 4.599 Å; angles 90.00, 90.00, 90.00 degrees
Space group P4/mbm (No. 127)
Asymmetric unit:
Cd1 0.161 0.339 0.000 [4 per cell]
P1 0.000 0.000 0.500 [2 per cell]
Rh1 0.162 0.662 0.500 [4 per cell]

13.
The following is a simulated powder diffractogram of Sm2CdP3Rh12. It was derived from a DFT-relaxed cell (PBE, Alexandria), using copper Kα.
Peak positions follow from Bragg's law for the DFT cell and can differ from measured ones.

The 12 most intense peaks (2θ = 5–70°), in order of rising 2θ:
2theta	intensity
20.70	14
28.79	13
33.53	13
36.25	40
36.78	20
40.19	100
42.11	19
45.63	12
46.93	15
55.23	11
55.61	11
59.63	15

Crystal structure
Cell lengths 8.9742, 8.9742, 12.8708 Å; angles 90.00, 90.00, 120.00 degrees
Space group R-3m (No. 166, hexagonal axes)
Asymmetric unit:
Sm1 0.0000 0.0000 0.1274 [6 per cell]
Cd1 0.0000 0.0000 0.5000 [3 per cell]
P1 0.0000 0.5000 0.0000 [9 per cell]
Rh1 0.0059 0.5029 0.8281 [18 per cell]
Rh2 0.0256 0.5128 0.3809 [18 per cell]